Structure and computed X-ray powder pattern of V6O13 (the GGA+U geometry in the Materials Project; λ = 1.5418 Å (Cu Kα)).

Crystal structure
```
V6O13
1.0
0.000 6.010 10.050
1.883 0.000 10.050
1.883 6.010 0.000
V O
6 13
Direct
0.035 0.331 0.669 V
0.149 0.851 0.149 V
0.331 0.035 0.965 V
0.669 0.965 0.035 V
0.851 0.149 0.851 V
0.965 0.669 0.331 V
0.000 0.000 0.000 O
0.053 0.749 0.251 O
0.120 0.475 0.525 O
0.198 0.198 0.802 O
0.251 0.947 0.053 O
0.320 0.680 0.320 O
0.475 0.120 0.880 O
0.525 0.880 0.120 O
0.680 0.320 0.680 O
0.749 0.053 0.947 O
0.802 0.802 0.198 O
0.880 0.525 0.475 O
0.947 0.251 0.749 O
```

Most intense lines, 10° ≤ 2θ ≤ 80°, by angle:
2θ 14.7, I = 67
2θ 17.6, I = 34
2θ 25.2, I = 100
2θ 26.6, I = 84
2θ 29.7, I = 57
2θ 32.9, I = 47
2θ 33.4, I = 37
2θ 45.1, I = 35
2θ 45.3, I = 38
2θ 48.3, I = 44


Structure and computed X-ray powder pattern of V2O3 (the GGA+U geometry in the Materials Project; λ = 1.5418 Å (Cu Kα)).

Crystal structure
```
V2O3
1.0
3.777 0.000 0.000
0.000 12.036 0.000
-1.716 0.000 5.205
V O
8 12
Direct
0.112 0.159 0.173 V
0.112 0.341 0.673 V
0.340 0.050 0.711 V
0.340 0.450 0.211 V
0.660 0.550 0.789 V
0.660 0.950 0.289 V
0.888 0.659 0.327 V
0.888 0.841 0.827 V
0.174 0.505 0.818 O
0.174 0.995 0.318 O
0.181 0.194 0.541 O
0.181 0.306 0.041 O
0.430 0.608 0.414 O
0.430 0.892 0.914 O
0.570 0.108 0.086 O
0.570 0.392 0.586 O
0.819 0.694 0.959 O
0.819 0.806 0.459 O
0.826 0.005 0.682 O
0.826 0.495 0.182 O
```

Most intense lines, 10° ≤ 2θ ≤ 80°, by angle:
2θ 14.7, I = 47
2θ 25.9, I = 75
2θ 29.0, I = 33
2θ 29.4, I = 41
2θ 34.4, I = 100
2θ 35.3, I = 47
2θ 37.7, I = 30
2θ 48.6, I = 24
2θ 48.8, I = 47
2θ 59.9, I = 25


Structure and computed X-ray powder pattern of V2O3 (the GGA+U geometry in the Materials Project; λ = 1.5418 Å (Cu Kα)).

Crystal structure
```
V2O3
1.0
7.645 0.000 0.000
0.000 3.110 0.000
-1.980 0.000 13.248
V O
12 18
Direct
0.001 0.250 0.099 V
0.048 0.750 0.612 V
0.314 0.250 0.484 V
0.320 0.250 0.783 V
0.320 0.750 0.283 V
0.373 0.250 0.071 V
0.627 0.750 0.929 V
0.680 0.250 0.717 V
0.680 0.750 0.217 V
0.686 0.750 0.516 V
0.952 0.250 0.388 V
0.999 0.750 0.901 V
0.121 0.750 0.475 O
0.133 0.250 0.975 O
0.154 0.750 0.793 O
0.185 0.250 0.329 O
0.192 0.750 0.140 O
0.221 0.250 0.634 O
0.446 0.750 0.425 O
0.460 0.250 0.926 O
0.482 0.250 0.229 O
0.518 0.750 0.771 O
0.540 0.750 0.074 O
0.554 0.250 0.575 O
0.779 0.750 0.366 O
0.808 0.250 0.860 O
0.815 0.750 0.671 O
0.846 0.250 0.207 O
0.867 0.750 0.025 O
0.879 0.250 0.525 O
```

Most intense lines, 10° ≤ 2θ ≤ 80°, by angle:
2θ 25.4, I = 64
2θ 31.0, I = 100
2θ 33.2, I = 88
2θ 35.3, I = 57
2θ 37.4, I = 77
2θ 38.7, I = 45
2θ 48.7, I = 64
2θ 53.3, I = 63
2θ 59.3, I = 57
2θ 59.4, I = 52


Structure and computed X-ray powder pattern of VO2 (the GGA+U geometry in the Materials Project; λ = 1.5418 Å (Cu Kα)).

Crystal structure
```
VO2
1.0
1.496 0.864 6.928
-1.496 0.864 6.928
0.000 -1.728 6.928
V O
1 2
Direct
0.000 0.000 0.000 V
0.379 0.379 0.379 O
0.621 0.621 0.621 O
```

Most intense lines, 10° ≤ 2θ ≤ 80°, by angle:
2θ 12.8, I = 100
2θ 25.7, I = 7
2θ 34.9, I = 3
2θ 35.7, I = 11
2θ 41.0, I = 16
2θ 49.7, I = 9
2θ 56.8, I = 3
2θ 60.7, I = 3
2θ 62.0, I = 4
2θ 63.6, I = 6


Structure and computed X-ray powder pattern of VO2 (the GGA+U geometry in the Materials Project; λ = 1.5418 Å (Cu Kα)).

Crystal structure
```
VO2
1.0
4.620 0.000 0.000
0.000 7.267 0.000
-1.769 0.000 8.918
V O
4 8
Direct
0.000 0.187 0.000 V
0.000 0.813 0.000 V
0.344 0.000 0.793 V
0.656 0.000 0.207 V
0.237 0.226 0.858 O
0.237 0.774 0.858 O
0.247 0.000 0.116 O
0.317 0.000 0.613 O
0.683 0.000 0.387 O
0.753 0.000 0.884 O
0.763 0.226 0.142 O
0.763 0.774 0.142 O
```

Most intense lines, 10° ≤ 2θ ≤ 80°, by angle:
2θ 12.2, I = 100
2θ 15.7, I = 12
2θ 23.7, I = 25
2θ 26.7, I = 9
2θ 28.0, I = 5
2θ 30.7, I = 8
2θ 31.6, I = 8
2θ 31.8, I = 7
2θ 41.0, I = 5
2θ 50.2, I = 5